Calculated XRD peak list
Compound: K2CuCl2F2
Radiation: Cu Ka
Structure: a cell relaxed with GGA-PBE
Intensities are scaled so that the largest is 100.

The 12 most intense peaks (5° ≤ 2θ ≤ 70°), in order of rising 2θ:
two_theta, d [Å], Rel. int.
13.91, 6.368, 84
18.94, 4.686, 29
24.99, 3.564, 54
27.47, 3.247, 71
35.63, 2.520, 100
37.89, 2.374, 22
38.42, 2.343, 24
42.59, 2.123, 24
45.57, 1.991, 34
51.27, 1.782, 31
56.70, 1.623, 37
68.79, 1.365, 19

Atomic structure:
```
K2CuCl2F2
1.0
-2.5199 2.5199 6.3676
2.5199 -2.5199 6.3676
2.5199 2.5199 -6.3676
K Cu Cl F
2 1 2 2
direct
0.1511 0.1511 0.0000 K
0.8489 0.8489 0.0000 K
0.5000 0.5000 0.0000 Cu
0.0000 0.5000 0.5000 Cl
0.5000 0.0000 0.5000 Cl
0.3493 0.3493 0.0000 F
0.6507 0.6507 0.0000 F
```


Calculated XRD peak list
Compound: GaCuCl4
Radiation: Cu Ka
Structure: a cell relaxed with GGA-PBE
Intensities are scaled so that the largest is 100.

The 12 most intense peaks (5° ≤ 2θ ≤ 70°), in order of rising 2θ:
two_theta, d [Å], Rel. int.
15.89, 5.579, 25
18.11, 4.898, 55
23.60, 3.771, 19
28.57, 3.124, 100
30.73, 2.910, 7
37.09, 2.424, 10
40.21, 2.242, 9
45.02, 2.014, 11
46.01, 1.972, 23
48.27, 1.885, 41
55.06, 1.668, 26
59.01, 1.565, 11

Atomic structure:
```
GaCuCl4
1.0
5.5790 0.0000 0.0000
0.0000 5.5790 0.0000
0.0000 0.0000 10.2314
Ga Cu Cl
2 2 8
direct
0.0000 0.5000 0.2500 Ga
0.5000 0.0000 0.7500 Ga
0.0000 0.0000 0.0000 Cu
0.0000 0.0000 0.5000 Cu
0.2282 0.2676 0.1254 Cl
0.2282 0.7324 0.3746 Cl
0.2676 0.2282 0.6254 Cl
0.2676 0.7718 0.8746 Cl
0.7324 0.2282 0.8746 Cl
0.7324 0.7718 0.6254 Cl
0.7718 0.2676 0.3746 Cl
0.7718 0.7324 0.1254 Cl
```


Calculated XRD peak list
Compound: Ga6CuSb7Te8Cl24
Radiation: Cu Ka
Structure: a cell relaxed with GGA-PBE
Intensities are scaled so that the largest is 100.

The 12 most intense peaks (5° ≤ 2θ ≤ 70°), in order of rising 2θ:
two_theta, d [Å], Rel. int.
8.31, 10.641, 12
8.54, 10.348, 100
11.32, 7.817, 17
12.80, 6.918, 12
22.91, 3.881, 17
23.37, 3.807, 12
25.13, 3.544, 18
30.20, 2.959, 26
30.36, 2.944, 45
31.37, 2.852, 22
39.67, 2.272, 12
40.91, 2.206, 13

Atomic structure:
```
Ga6CuSb7Te8Cl24
1.0
11.9571 0.0000 0.0000
-2.1183 12.1741 0.0000
-4.7136 -5.7544 10.3531
Ga Cu Sb Te Cl
6 1 7 8 24
direct
0.0240 0.2163 0.3011 Ga
0.0805 0.2859 0.8893 Ga
0.3848 0.6696 0.7439 Ga
0.6152 0.3304 0.2561 Ga
0.9195 0.7141 0.1107 Ga
0.9760 0.7837 0.6989 Ga
0.0000 0.5000 0.5000 Cu
0.2942 0.7002 0.1370 Sb
0.3539 0.2736 0.5967 Sb
0.3573 0.0383 0.7555 Sb
0.5000 0.0000 0.5000 Sb
0.6427 0.9617 0.2445 Sb
0.6461 0.7264 0.4033 Sb
0.7058 0.2998 0.8630 Sb
0.2441 0.0057 0.4954 Te
0.3938 0.7147 0.3874 Te
0.3962 0.9692 0.2274 Te
0.4636 0.3104 0.8622 Te
0.5364 0.6896 0.1378 Te
0.6038 0.0308 0.7726 Te
0.6062 0.2853 0.6126 Te
0.7559 0.9943 0.5046 Te
0.0242 0.6080 0.1857 Cl
0.0280 0.2040 0.4696 Cl
0.0412 0.8223 0.0650 Cl
0.0574 0.4224 0.3544 Cl
0.1226 0.1594 0.7426 Cl
0.1570 0.9043 0.8754 Cl
0.1986 0.1882 0.2912 Cl
0.2596 0.7338 0.6204 Cl
0.2702 0.4161 0.0628 Cl
0.2733 0.5410 0.7806 Cl
0.4768 0.1575 0.0723 Cl
0.4810 0.5735 0.6419 Cl
0.5190 0.4265 0.3581 Cl
0.5232 0.8425 0.9277 Cl
0.7267 0.4590 0.2194 Cl
0.7298 0.5839 0.9372 Cl
0.7404 0.2662 0.3796 Cl
0.8014 0.8118 0.7088 Cl
0.8430 0.0957 0.1246 Cl
0.8774 0.8406 0.2574 Cl
0.9426 0.5776 0.6456 Cl
0.9588 0.1777 0.9350 Cl
0.9720 0.7960 0.5304 Cl
0.9758 0.3920 0.8143 Cl
```


Calculated XRD peak list
Compound: K2GdCuCl6
Radiation: Cu Ka
Structure: a cell relaxed with GGA-PBE
Intensities are scaled so that the largest is 100.

The 12 most intense peaks (5° ≤ 2θ ≤ 70°), in order of rising 2θ:
two_theta, d [Å], Rel. int.
14.76, 6.002, 22
17.06, 5.197, 98
24.22, 3.675, 100
28.48, 3.134, 19
34.51, 2.599, 99
38.74, 2.324, 49
42.61, 2.122, 45
49.61, 1.838, 65
52.84, 1.732, 24
55.94, 1.644, 20
61.84, 1.500, 21
67.42, 1.389, 22

Atomic structure:
```
K2GdCuCl6
1.0
0.0000 5.1975 5.1975
5.1975 0.0000 5.1975
5.1975 5.1975 0.0000
K Gd Cu Cl
2 1 1 6
direct
0.2500 0.2500 0.2500 K
0.7500 0.7500 0.7500 K
0.0000 0.0000 0.0000 Gd
0.5000 0.5000 0.5000 Cu
0.2562 0.2562 0.7438 Cl
0.2562 0.7438 0.2562 Cl
0.2562 0.7438 0.7438 Cl
0.7438 0.2562 0.2562 Cl
0.7438 0.2562 0.7438 Cl
0.7438 0.7438 0.2562 Cl
```


Calculated XRD peak list
Compound: GdCuSe2ClO6
Radiation: Cu Ka
Structure: a cell relaxed with GGA-PBE
Intensities are scaled so that the largest is 100.

The 12 most intense peaks (5° ≤ 2θ ≤ 70°), in order of rising 2θ:
two_theta, d [Å], Rel. int.
11.27, 7.855, 43
14.63, 6.055, 68
19.08, 4.651, 33
25.46, 3.498, 72
25.78, 3.456, 90
27.87, 3.201, 72
28.12, 3.173, 90
29.59, 3.018, 50
29.77, 3.001, 100
33.40, 2.683, 32
44.47, 2.037, 47
45.11, 2.010, 41

Atomic structure:
```
GdCuSe2ClO6
1.0
7.1261 0.0000 0.0000
-3.1559 8.8589 0.0000
-3.5327 -3.0263 11.1817
Gd Cu Se Cl O
4 4 8 4 24
direct
0.1631 0.3886 0.4298 Gd
0.1643 0.9133 0.9145 Gd
0.8357 0.0867 0.0855 Gd
0.8369 0.6114 0.5702 Gd
0.0753 0.1448 0.6516 Cu
0.0802 0.6214 0.1584 Cu
0.9198 0.3786 0.8416 Cu
0.9247 0.8552 0.3484 Cu
0.2806 0.5939 0.7492 Se
0.2832 0.0722 0.2528 Se
0.4650 0.7332 0.4054 Se
0.4839 0.2591 0.9016 Se
0.5161 0.7409 0.0984 Se
0.5350 0.2668 0.5946 Se
0.7168 0.9278 0.7472 Se
0.7194 0.4061 0.2508 Se
0.0923 0.3526 0.0295 Cl
0.1400 0.8738 0.5376 Cl
0.8600 0.1262 0.4624 Cl
0.9077 0.6474 0.9705 Cl
0.1113 0.5023 0.6017 O
0.1401 0.0084 0.0989 O
0.1408 0.1847 0.2756 O
0.1531 0.7200 0.7645 O
0.1839 0.9207 0.3122 O
0.2003 0.4646 0.8300 O
0.2363 0.1146 0.8048 O
0.2414 0.5711 0.3043 O
0.3168 0.2932 0.6194 O
0.3584 0.7738 0.1744 O
0.4801 0.6420 0.5216 O
0.4846 0.8555 0.9986 O
0.5154 0.1445 0.0014 O
0.5199 0.3580 0.4784 O
0.6416 0.2262 0.8256 O
0.6832 0.7068 0.3806 O
0.7586 0.4289 0.6957 O
0.7637 0.8854 0.1952 O
0.7997 0.5354 0.1700 O
0.8161 0.0793 0.6878 O
0.8469 0.2800 0.2355 O
0.8592 0.8153 0.7244 O
0.8599 0.9916 0.9011 O
0.8887 0.4977 0.3983 O
```


Calculated XRD peak list
Compound: K2CuH2Cl4
Radiation: Cu Ka
Structure: a cell relaxed with GGA-PBE
Intensities are scaled so that the largest is 100.

The 12 most intense peaks (5° ≤ 2θ ≤ 70°), in order of rising 2θ:
two_theta, d [Å], Rel. int.
16.55, 5.355, 100
21.57, 4.119, 35
28.10, 3.175, 93
30.36, 2.944, 23
33.46, 2.678, 60
36.05, 2.492, 86
42.40, 2.132, 19
43.96, 2.060, 23
46.32, 1.960, 40
47.83, 1.902, 18
51.90, 1.762, 25
58.10, 1.588, 36

Atomic structure:
```
K2CuH2Cl4
1.0
7.0474 0.0000 0.0000
0.0000 7.0474 0.0000
0.0000 0.0000 8.2389
K Cu H Cl
4 2 4 8
direct
0.0000 0.5000 0.2500 K
0.0000 0.5000 0.7500 K
0.5000 0.0000 0.2500 K
0.5000 0.0000 0.7500 K
0.0000 0.0000 0.0000 Cu
0.5000 0.5000 0.5000 Cu
0.0000 0.0000 0.1864 H
0.0000 0.0000 0.8136 H
0.5000 0.5000 0.3136 H
0.5000 0.5000 0.6864 H
0.2270 0.2270 0.0000 Cl
0.2476 0.7524 0.0000 Cl
0.2524 0.2524 0.5000 Cl
0.2730 0.7270 0.5000 Cl
0.7270 0.2730 0.5000 Cl
0.7476 0.7476 0.5000 Cl
0.7524 0.2476 0.0000 Cl
0.7730 0.7730 0.0000 Cl
```


Calculated XRD peak list
Compound: K2Cu5H8Cl8O6
Radiation: Cu Ka
Structure: a cell relaxed with GGA-PBE
Intensities are scaled so that the largest is 100.

The 12 most intense peaks (5° ≤ 2θ ≤ 70°), in order of rising 2θ:
two_theta, d [Å], Rel. int.
7.63, 11.590, 100
14.89, 5.951, 26
15.17, 5.841, 22
17.04, 5.205, 31
27.61, 3.231, 16
28.69, 3.111, 32
30.23, 2.957, 17
35.28, 2.544, 10
35.85, 2.505, 12
36.21, 2.481, 12
38.47, 2.340, 27
43.90, 2.062, 10

Atomic structure:
```
K2Cu5H8Cl8O6
1.0
11.5909 0.0000 0.0000
0.0000 6.7039 0.0000
-0.1596 0.0000 11.9014
K Cu H Cl O
4 10 16 16 12
direct
0.0848 0.0915 0.3238 K
0.0848 0.4085 0.8238 K
0.9152 0.5915 0.1762 K
0.9152 0.9085 0.6762 K
0.2804 0.5060 0.1947 Cu
0.2804 0.9940 0.6947 Cu
0.4869 0.6603 0.7373 Cu
0.4869 0.8397 0.2373 Cu
0.5000 0.0000 0.5000 Cu
0.5000 0.5000 0.0000 Cu
0.5131 0.1603 0.7627 Cu
0.5131 0.3397 0.2627 Cu
0.7196 0.0060 0.3053 Cu
0.7196 0.4940 0.8053 Cu
0.0375 0.0071 0.0894 H
0.0375 0.4929 0.5894 H
0.1218 0.6401 0.5351 H
0.1218 0.8599 0.0351 H
0.3806 0.2358 0.0905 H
0.3806 0.2642 0.5905 H
0.3857 0.6033 0.3678 H
0.3857 0.8967 0.8678 H
0.6143 0.1033 0.1322 H
0.6143 0.3967 0.6322 H
0.6194 0.7358 0.4095 H
0.6194 0.7642 0.9095 H
0.8782 0.1401 0.9649 H
0.8782 0.3599 0.4649 H
0.9625 0.5071 0.4106 H
0.9625 0.9929 0.9106 H
0.1458 0.1381 0.5887 Cl
0.1458 0.3619 0.0887 Cl
0.1615 0.6133 0.3296 Cl
0.1615 0.8867 0.8296 Cl
0.3620 0.0897 0.3664 Cl
0.3620 0.4103 0.8664 Cl
0.3745 0.6475 0.5802 Cl
0.3745 0.8525 0.0802 Cl
0.6255 0.1475 0.9198 Cl
0.6255 0.3525 0.4198 Cl
0.6380 0.5897 0.1336 Cl
0.6380 0.9103 0.6336 Cl
0.8385 0.1133 0.1704 Cl
0.8385 0.3867 0.6704 Cl
0.8542 0.6381 0.9113 Cl
0.8542 0.8619 0.4113 Cl
0.0687 0.6282 0.5974 O
0.0687 0.8718 0.0974 O
0.4124 0.1394 0.6210 O
0.4124 0.3606 0.1210 O
0.4133 0.5856 0.2906 O
0.4133 0.9144 0.7906 O
0.5867 0.0856 0.2094 O
0.5867 0.4144 0.7094 O
0.5876 0.6394 0.8790 O
0.5876 0.8606 0.3790 O
0.9313 0.1282 0.9026 O
0.9313 0.3718 0.4026 O
```


Calculated XRD peak list
Compound: K2CuH4Cl4O2
Radiation: Cu Ka
Structure: a cell relaxed with GGA-PBE
Intensities are scaled so that the largest is 100.

The 12 most intense peaks (5° ≤ 2θ ≤ 70°), in order of rising 2θ:
two_theta, d [Å], Rel. int.
16.32, 5.433, 57
22.48, 3.956, 14
26.67, 3.342, 13
28.18, 3.167, 49
29.00, 3.079, 29
32.97, 2.716, 74
33.93, 2.642, 100
44.66, 2.029, 20
45.88, 1.978, 21
48.74, 1.868, 27
58.27, 1.583, 34
69.17, 1.358, 17

Atomic structure:
```
K2CuH4Cl4O2
1.0
7.4738 0.0000 0.0000
0.0000 7.4738 0.0000
0.0000 0.0000 7.9113
K Cu H Cl O
4 2 8 8 4
direct
0.0000 0.5000 0.2500 K
0.0000 0.5000 0.7500 K
0.5000 0.0000 0.2500 K
0.5000 0.0000 0.7500 K
0.0000 0.0000 0.0000 Cu
0.5000 0.5000 0.5000 Cu
0.0762 0.0762 0.3219 H
0.0762 0.0762 0.6781 H
0.4238 0.5762 0.1781 H
0.4238 0.5762 0.8219 H
0.5762 0.4238 0.1781 H
0.5762 0.4238 0.8219 H
0.9238 0.9238 0.3219 H
0.9238 0.9238 0.6781 H
0.2189 0.2189 0.0000 Cl
0.2199 0.2199 0.5000 Cl
0.2801 0.7199 0.0000 Cl
0.2811 0.7189 0.5000 Cl
0.7189 0.2811 0.5000 Cl
0.7199 0.2801 0.0000 Cl
0.7801 0.7801 0.5000 Cl
0.7811 0.7811 0.0000 Cl
0.0000 0.0000 0.2482 O
0.0000 0.0000 0.7518 O
0.5000 0.5000 0.2518 O
0.5000 0.5000 0.7482 O
```


Calculated XRD peak list
Compound: MgCuH4Pb2Cl2O4
Radiation: Cu Ka
Structure: a cell relaxed with GGA-PBE
Intensities are scaled so that the largest is 100.

The 12 most intense peaks (5° ≤ 2θ ≤ 70°), in order of rising 2θ:
two_theta, d [Å], Rel. int.
20.21, 4.393, 100
21.48, 4.138, 31
25.35, 3.513, 31
30.45, 2.936, 21
30.66, 2.916, 20
30.92, 2.892, 44
34.60, 2.592, 17
36.84, 2.440, 23
36.98, 2.431, 23
43.76, 2.069, 25
43.97, 2.059, 15
44.09, 2.054, 18

Atomic structure:
```
MgCuH4Pb2Cl2O4
1.0
5.8321 0.0000 0.0000
0.0000 5.8715 0.0000
-0.0073 0.0000 6.6517
Mg Cu H Pb Cl O
1 1 4 2 2 4
direct
0.0000 0.0000 0.0000 Mg
0.5007 0.0000 0.1882 Cu
0.1966 0.3341 0.1537 H
0.1966 0.6659 0.1537 H
0.8039 0.3346 0.1529 H
0.8039 0.6654 0.1529 H
0.4995 0.5000 0.8565 Pb
0.9992 0.0000 0.5127 Pb
0.9998 0.5000 0.4485 Cl
0.4994 0.0000 0.5327 Cl
0.2535 0.2397 0.0434 O
0.2535 0.7603 0.0434 O
0.7465 0.2399 0.0428 O
0.7465 0.7601 0.0428 O
```